(1)
Computed powder XRD pattern of Sr5Hg2Ir2 for λ = 1.5418 Å (Cu Kα), from a DFT-relaxed cell (GGA-PBE, Alexandria).
Kinematic intensities with the Lorentz-polarization factor, no thermal factor.

The 10 most intense peaks (2θ from 10° to 90°), low angle first:
d 4.078, intensity 37, hkl 0 0 2; d 4.051, intensity 69, hkl 3 1 1; d 3.073, intensity 53, hkl 3 1 2; d 2.949, intensity 100, hkl 4 2 0; d 2.884, intensity 50, hkl 0 2 2; d 2.771, intensity 59, hkl 4 2 1; d 2.550, intensity 76, hkl 1 1 3; d 2.246, intensity 55, hkl 7 1 1; d 2.058, intensity 47, hkl 5 1 3; d 1.528, intensity 42, hkl 9 1 3

Structural model:
```
data_Sr5Hg2Ir2
_chemical_formula_sum 'Sr20 Hg8 Ir8'
_symmetry_space_group_name_H-M 'C m c e'
_symmetry_Int_Tables_number 64
_symmetry_space_group_name_Hall '-C 2ac 2'
_cell_length_a 17.075
_cell_length_b 8.142
_cell_length_c 8.170
_cell_angle_alpha 90.00
_cell_angle_beta 90.00
_cell_angle_gamma 90.00
loop_
_atom_site_label
_atom_site_fract_x
_atom_site_fract_y
_atom_site_fract_z
Sr1 0.000 0.000 0.000
Sr2 0.121 0.174 0.327
Hg1 0.214 0.000 0.000
Ir1 0.000 0.112 0.612
```

---

(2)
Computed powder XRD pattern of La5Pr2Sm2 for λ = 1.5418 Å (Cu Kα), from a DFT-relaxed cell (GGA-PBE, Alexandria).
Kinematic intensities with the Lorentz-polarization factor, no thermal factor.

The 10 most intense peaks (2θ from 10° to 90°), low angle first:
d 3.026, intensity 100, hkl 1 1 4; d 2.649, intensity 17, hkl 0 2 0; d 2.613, intensity 17, hkl 0 0 9; d 2.601, intensity 17, hkl 2 0 -1; d 1.860, intensity 12, hkl 0 2 9; d 1.856, intensity 12, hkl 2 2 -1; d 1.593, intensity 15, hkl 1 3 4; d 1.577, intensity 14, hkl 1 1 13; d 1.572, intensity 14, hkl 3 1 3; d 1.513, intensity 12, hkl 2 2 8

Structural model:
```
data_La5Pr2Sm2
_chemical_formula_sum 'La10 Pr4 Sm4'
_symmetry_space_group_name_H-M 'C 1 2/m 1'
_symmetry_Int_Tables_number 12
_cell_length_a 5.202
_cell_length_b 5.299
_cell_length_c 23.657
_cell_angle_alpha 90.00
_cell_angle_beta 96.29
_cell_angle_gamma 90.00
loop_
_symmetry_equiv_pos_as_xyz
'x,y,z'
'-x,-y,-z'
'-x,y,-z'
'x,-y,z'
'x+1/2,y+1/2,z'
'-x+1/2,-y+1/2,-z'
'-x+1/2,y+1/2,-z'
'x+1/2,-y+1/2,z'
loop_
_atom_site_label
_atom_site_fract_x
_atom_site_fract_y
_atom_site_fract_z
La1 0.000 0.000 0.000
La2 0.056 0.500 0.112
La3 0.222 0.000 0.444
Pr1 0.166 0.500 0.331
Sm1 0.111 0.000 0.223
```

---

(3)
Computed powder XRD pattern of MgTl3 for λ = 1.5418 Å (Cu Kα), from a DFT-relaxed cell (GGA-PBE, Alexandria).
Kinematic intensities with the Lorentz-polarization factor, no thermal factor.

The 10 most intense peaks (2θ from 10° to 90°), low angle first:
d 5.863, intensity 19, hkl 0 0 1; d 5.616, intensity 21, hkl 0 1 0; d 4.056, intensity 23, hkl 0 1 1; d 2.926, intensity 28, hkl 1 1 0; d 2.807, intensity 100, hkl 0 2 0; d 2.738, intensity 90, hkl 1 1 -1; d 2.599, intensity 83, hkl 0 1 2; d 1.985, intensity 37, hkl 1 2 1; d 1.607, intensity 19, hkl 1 3 -1; d 1.578, intensity 19, hkl 0 3 2

Structural model:
```
data_MgTl3
_chemical_formula_sum 'Mg1 Tl3'
_symmetry_space_group_name_H-M 'P 1 2/m 1'
_symmetry_Int_Tables_number 10
_cell_length_a 3.454
_cell_length_b 5.616
_cell_length_c 5.910
_cell_angle_alpha 90.00
_cell_angle_beta 97.29
_cell_angle_gamma 90.00
loop_
_symmetry_equiv_pos_as_xyz
'x,y,z'
'-x,-y,-z'
'-x,y,-z'
'x,-y,z'
loop_
_atom_site_label
_atom_site_fract_x
_atom_site_fract_y
_atom_site_fract_z
Mg1 0.000 0.000 0.000
Tl1 0.206 0.500 0.755
Tl2 0.500 0.000 0.500
```